[1]
Diffraction record for Sm4TlRh2. The XRD peak list is computed, not measured: it uses a GGA-PBE-relaxed structure and λ = 1.5418 Å (Cu Kα).
Peak positions follow from Bragg's law for the DFT cell and can differ from measured ones.

Most intense lines, 15° ≤ 2θ ≤ 90°, by intensity:
h k l, 2θ/deg, I_rel
1 0 10, 33.34, 1000
0 1 5, 27.02, 613
1 1 0, 43.27, 532
0 2 10, 55.70, 232
0 1 20, 52.15, 215
2 1 10, 73.05, 206
1 1 15, 55.82, 134
1 0 1, 24.68, 122
0 1 11, 34.92, 106
2 0 5, 51.76, 105

Structural model:
Cell: 4.1815 4.1815 40.0989 Å, 90.00 90.00 120.00°
Space group R-3m (No. 166, hexagonal axes)
One atom of each set of equivalent atoms:
Sm1 0.0000 0.0000 0.1079 [6 per cell]
Sm2 0.0000 0.0000 0.2980 [6 per cell]
Tl1 0.0000 0.0000 0.5000 [3 per cell]
Rh1 0.0000 0.0000 0.4038 [6 per cell]

[2]
Diffraction record for La2Sm3Tm7. The XRD peak list is computed, not measured: it uses a GGA-PBE-relaxed structure and λ = 1.5418 Å (Cu Kα).
Peak positions follow from Bragg's law for the DFT cell and can differ from measured ones.

Most intense lines, 15° ≤ 2θ ≤ 90°, by intensity:
h k l, 2θ/deg, I_rel
1 1 2, 31.39, 1000
0 0 6, 30.85, 947
2 0 -3, 30.75, 867
1 1 -4, 34.83, 717
2 0 3, 33.83, 650
1 1 1, 29.78, 621
0 2 6, 61.62, 506
3 1 -1, 50.33, 356
1 1 -5, 38.01, 309
0 2 0, 51.95, 230

Structural model:
Cell: 6.345 3.520 17.498 Å, 90.00 96.34 90.00°
Space group P2/m (No. 10)
One atom of each set of equivalent atoms:
La1 0.054 0.000 0.175 [2 per cell]
Sm1 0.457 0.500 0.842 [2 per cell]
Sm2 0.500 0.000 0.500 [1 per cell]
Tm1 0.000 0.500 0.500 [1 per cell]
Tm2 0.227 0.000 0.664 [2 per cell]
Tm3 0.255 0.000 0.000 [2 per cell]
Tm4 0.276 0.500 0.339 [2 per cell]

[3]
Diffraction record for TbEr8Th2. The XRD peak list is computed, not measured: it uses a GGA-PBE-relaxed structure and λ = 1.5418 Å (Cu Kα).
Peak positions follow from Bragg's law for the DFT cell and can differ from measured ones.

Most intense lines, 15° ≤ 2θ ≤ 90°, by intensity:
h k l, 2θ/deg, I_rel
2 0 -2, 30.51, 1000
1 5 -1, 31.97, 907
2 4 0, 32.93, 521
1 3 1, 31.64, 410
0 2 2, 38.31, 258
1 1 -2, 31.85, 217
0 4 1, 28.84, 211
2 2 -2, 32.53, 200
1 1 1, 27.27, 186
5 5 -1, 61.43, 178

Structural model:
Cell: 8.953 15.927 5.913 Å, 90.00 123.69 90.00°
Space group C2/m (No. 12)
One atom of each set of equivalent atoms:
Tb1 0.000 0.000 0.000 [2 per cell]
Er1 0.000 0.209 0.000 [4 per cell]
Er2 0.073 0.500 0.795 [4 per cell]
Er3 0.218 0.118 0.677 [8 per cell]
Th1 0.000 0.306 0.500 [4 per cell]

[4]
Diffraction record for Cs2CaErI6. The XRD peak list is computed, not measured: it uses a GGA-PBE-relaxed structure and λ = 1.5418 Å (Cu Kα).
Peak positions follow from Bragg's law for the DFT cell and can differ from measured ones.

Most intense lines, 15° ≤ 2θ ≤ 90°, by intensity:
h k l, 2θ/deg, I_rel
2 0 2, 29.10, 1000
2 2 0, 25.14, 846
4 0 0, 41.63, 746
4 2 2, 49.25, 393
6 0 2, 68.36, 337
4 4 0, 51.59, 263
6 4 2, 75.97, 250
6 2 0, 66.41, 160
2 0 0, 20.47, 151
4 0 4, 60.33, 123

Structural model:
Cell: 8.676 12.279 8.677 Å, 90.00 90.00 90.00°
Space group Pmmn (No. 59, origin choice 2)
One atom of each set of equivalent atoms:
Cs1 0.250 0.001 0.249 [4 per cell]
Ca1 0.250 0.250 0.749 [2 per cell]
Er1 0.250 0.750 0.751 [2 per cell]
I1 0.003 0.750 0.505 [4 per cell]
I2 0.004 0.750 0.998 [4 per cell]
I3 0.250 0.503 0.750 [4 per cell]

[5]
Diffraction record for Li4HgGe. The XRD peak list is computed, not measured: it uses a GGA-PBE-relaxed structure and λ = 1.5418 Å (Cu Kα).
Peak positions follow from Bragg's law for the DFT cell and can differ from measured ones.

Most intense lines, 15° ≤ 2θ ≤ 90°, by intensity:
h k l, 2θ/deg, I_rel
1 1 1, 28.81, 1000
4 0 0, 19.21, 702
5 1 1, 40.11, 519
3 1 1, 33.44, 177
2 0 2, 44.32, 168
4 2 0, 42.80, 155
9 1 1, 57.18, 150
1 1 -1, 27.11, 144
2 0 -2, 39.54, 141
0 2 0, 37.87, 135

Structural model:
Cell: 19.023 4.752 4.558 Å, 90.00 103.73 90.00°
Space group C2/c (No. 15)
One atom of each set of equivalent atoms:
Li1 0.079 0.209 0.328 [8 per cell]
Li2 0.163 0.268 0.913 [8 per cell]
Hg1 0.250 0.250 0.500 [4 per cell]
Ge1 0.000 0.312 0.750 [4 per cell]

[6]
Diffraction record for La5Y2Th2. The XRD peak list is computed, not measured: it uses a GGA-PBE-relaxed structure and λ = 1.5418 Å (Cu Kα).
Peak positions follow from Bragg's law for the DFT cell and can differ from measured ones.

Most intense lines, 15° ≤ 2θ ≤ 90°, by intensity:
h k l, 2θ/deg, I_rel
0 2 1, 30.72, 1000
1 1 3, 31.08, 789
1 -1 2, 32.48, 361
2 2 1, 34.64, 317
-1 1 2, 33.00, 298
1 1 -2, 32.04, 270
1 1 -1, 23.69, 249
2 1 1, 28.77, 237
1 0 -2, 28.55, 170
2 -2 0, 50.97, 127

Structural model:
Cell: 6.286 6.310 8.937 Å, 75.23 74.27 69.37°
Space group P-1 (No. 2)
One atom of each set of equivalent atoms:
La1 0.000 0.000 0.000 [1 per cell]
La2 0.220 0.668 0.699 [2 per cell]
La3 0.340 0.792 0.294 [2 per cell]
Y1 0.328 0.347 0.102 [2 per cell]
Th1 0.217 0.223 0.528 [2 per cell]

[7]
Diffraction record for TiTl3S3. The XRD peak list is computed, not measured: it uses a GGA-PBE-relaxed structure and λ = 1.5418 Å (Cu Kα).
Peak positions follow from Bragg's law for the DFT cell and can differ from measured ones.

Most intense lines, 15° ≤ 2θ ≤ 90°, by intensity:
h k l, 2θ/deg, I_rel
3 1 1, 30.36, 1000
3 0 2, 22.82, 533
0 2 0, 45.83, 477
1 1 3, 29.85, 456
0 1 3, 29.13, 362
1 0 5, 31.45, 350
4 0 2, 28.55, 291
2 1 4, 35.96, 250
3 0 3, 26.66, 248
0 1 1, 23.28, 241

Structural model:
Cell: 13.855 3.960 14.532 Å, 90.00 90.00 90.00°
Space group Pnma (No. 62)
One atom of each set of equivalent atoms:
Ti1 0.050 0.250 0.228 [4 per cell]
Tl1 0.104 0.750 0.017 [4 per cell]
Tl2 0.117 0.250 0.599 [4 per cell]
Tl3 0.227 0.750 0.356 [4 per cell]
S1 0.031 0.250 0.814 [4 per cell]
S2 0.046 0.250 0.384 [4 per cell]
S3 0.207 0.250 0.191 [4 per cell]

[8]
Diffraction record for YHo2Zn3. The XRD peak list is computed, not measured: it uses a GGA-PBE-relaxed structure and λ = 1.5418 Å (Cu Kα).
Peak positions follow from Bragg's law for the DFT cell and can differ from measured ones.

Most intense lines, 15° ≤ 2θ ≤ 90°, by intensity:
h k l, 2θ/deg, I_rel
2 0 0, 35.64, 1000
3 3 1, 64.06, 234
1 3 0, 24.99, 127
2 0 2, 63.94, 118
2 6 0, 51.35, 116
4 6 0, 86.46, 102
2 6 2, 75.43, 72
0 0 2, 51.17, 59
1 3 3, 86.16, 52
2 0 1, 44.02, 38

Structural model:
Cell: 5.032 15.099 3.570 Å, 90.00 90.00 90.00°
Space group Cmmm (No. 65)
One atom of each set of equivalent atoms:
Y1 0.000 0.000 0.000 [2 per cell]
Ho1 0.000 0.333 0.000 [4 per cell]
Zn1 0.000 0.168 0.500 [4 per cell]
Zn2 0.000 0.500 0.500 [2 per cell]

[9]
Diffraction record for La2Al3Cu2. The XRD peak list is computed, not measured: it uses a GGA-PBE-relaxed structure and λ = 1.5418 Å (Cu Kα).
Peak positions follow from Bragg's law for the DFT cell and can differ from measured ones.

Most intense lines, 15° ≤ 2θ ≤ 90°, by intensity:
h k l, 2θ/deg, I_rel
1 1 0, 23.30, 1000
3 1 -2, 34.85, 724
1 1 2, 41.08, 610
0 0 2, 28.49, 608
4 0 -2, 33.03, 588
3 1 -1, 32.21, 580
3 1 0, 35.81, 576
0 2 0, 43.32, 540
1 1 -2, 32.76, 515
4 0 0, 38.27, 489

Structural model:
Cell: 11.181 4.177 7.447 Å, 90.00 122.72 90.00°
Space group C2/m (No. 12)
One atom of each set of equivalent atoms:
La1 0.127 0.000 0.265 [4 per cell]
Al1 0.000 0.500 0.500 [2 per cell]
Al2 0.153 0.500 0.933 [4 per cell]
Cu1 0.137 0.000 0.697 [4 per cell]

[10]
Diffraction record for NaZnAs2Se4. The XRD peak list is computed, not measured: it uses a GGA-PBE-relaxed structure and λ = 1.5418 Å (Cu Kα).
Peak positions follow from Bragg's law for the DFT cell and can differ from measured ones.

Most intense lines, 15° ≤ 2θ ≤ 90°, by intensity:
h k l, 2θ/deg, I_rel
2 0 2, 26.57, 1000
2 2 4, 46.85, 385
2 4 2, 47.03, 369
0 4 0, 38.01, 177
4 0 0, 38.15, 175
1 1 1, 16.20, 130
6 2 4, 75.12, 108
4 4 0, 54.95, 105
0 2 6, 61.63, 81
4 2 6, 74.80, 77

Structural model:
Cell: 9.436 9.470 9.525 Å, 90.00 90.00 90.00°
Space group Fmm2 (No. 42)
One atom of each set of equivalent atoms:
Na1 0.000 0.000 0.000 [4 per cell]
Zn1 0.000 0.000 0.499 [4 per cell]
As1 0.250 0.250 0.250 [8 per cell]
Se1 0.000 0.225 0.636 [8 per cell]
Se2 0.225 0.000 0.362 [8 per cell]

[11]
Diffraction record for K2Cd3SnBi4. The XRD peak list is computed, not measured: it uses a GGA-PBE-relaxed structure and λ = 1.5418 Å (Cu Kα).
Peak positions follow from Bragg's law for the DFT cell and can differ from measured ones.

Most intense lines, 15° ≤ 2θ ≤ 90°, by intensity:
h k l, 2θ/deg, I_rel
1 1 4, 38.53, 1000
2 0 0, 32.86, 982
1 1 2, 27.68, 833
1 0 1, 17.94, 594
0 0 2, 15.08, 548
3 1 4, 62.47, 496
1 0 3, 28.05, 476
2 2 0, 47.16, 359
2 0 8, 73.17, 318
2 1 3, 43.74, 283

Structural model:
Cell: 5.451 5.451 11.751 Å, 90.00 90.00 90.00°
Space group P-4m2 (No. 115)
One atom of each set of equivalent atoms:
K1 0.000 0.500 0.244 [2 per cell]
Cd1 0.000 0.500 0.876 [2 per cell]
Cd2 0.500 0.500 0.500 [1 per cell]
Sn1 0.000 0.000 0.500 [1 per cell]
Bi1 0.000 0.000 0.000 [1 per cell]
Bi2 0.000 0.500 0.623 [2 per cell]
Bi3 0.500 0.500 0.000 [1 per cell]

[12]
Diffraction record for NaSn8Au6. The XRD peak list is computed, not measured: it uses a GGA-PBE-relaxed structure and λ = 1.5418 Å (Cu Kα).
Peak positions follow from Bragg's law for the DFT cell and can differ from measured ones.

Most intense lines, 15° ≤ 2θ ≤ 90°, by intensity:
h k l, 2θ/deg, I_rel
2 1 -1, 30.07, 1000
-1 2 1, 32.18, 927
1 -2 2, 32.16, 572
2 0 2, 42.08, 554
0 0 3, 37.59, 526
3 -2 1, 48.17, 382
1 -3 2, 39.41, 331
1 3 0, 42.51, 328
0 2 -1, 23.24, 311
1 3 -3, 43.30, 294

Structural model:
Cell: 6.621 7.724 7.941 Å, 111.25 101.80 93.44°
Space group P-1 (No. 2)
One atom of each set of equivalent atoms:
Na1 0.000 0.000 0.000 [1 per cell]
Sn1 0.129 0.210 0.608 [2 per cell]
Sn2 0.211 0.611 0.002 [2 per cell]
Sn3 0.319 0.505 0.355 [2 per cell]
Sn4 0.445 0.908 0.765 [2 per cell]
Au1 0.073 0.667 0.671 [2 per cell]
Au2 0.287 0.897 0.368 [2 per cell]
Au3 0.354 0.264 0.985 [2 per cell]

[13]
Diffraction record for ZnCd2Au3. The XRD peak list is computed, not measured: it uses a GGA-PBE-relaxed structure and λ = 1.5418 Å (Cu Kα).
Peak positions follow from Bragg's law for the DFT cell and can differ from measured ones.

Most intense lines, 15° ≤ 2θ ≤ 90°, by intensity:
h k l, 2θ/deg, I_rel
2 0 1, 38.40, 1000
1 1 2, 38.61, 495
1 0 3, 37.42, 411
0 0 2, 21.47, 268
2 0 5, 68.44, 243
2 2 0, 66.22, 224
2 0 0, 36.77, 184
2 0 2, 42.97, 176
2 1 3, 60.28, 174
2 0 3, 49.84, 147

Structural model:
Cell: 5.6451 5.6451 8.2789 Å, 90.00 90.00 120.00°
Space group P6_3/mmc (No. 194)
One atom of each set of equivalent atoms:
Zn1 0.0000 0.0000 0.0000 [2 per cell]
Cd1 0.3333 0.6667 0.0667 [4 per cell]
Au1 0.1699 0.3397 0.7500 [6 per cell]